(1)
Structure and computed powder diffractogram of NiTeP2Pt (the PBE geometry in Alexandria; Cu Kα (λ = 1.5418 Å)).
Lines closer than 0.1° are merged.

abc: 6.5890 3.8655 7.8301
angles: 90.00 110.31 90.00
Fractional coordinates of all 10 atoms:
Ni (0.0000, 0.0000, 0.0000)
Ni (0.5000, 0.5000, 0.0000)
Te (0.0286, 0.0000, 0.3378)
Te (0.5286, 0.5000, 0.3378)
P (0.1710, 0.5000, 0.0233)
P (0.3627, 0.5000, 0.7026)
P (0.6710, 0.0000, 0.0233)
P (0.8627, 0.0000, 0.7026)
Pt (0.4643, 0.0000, 0.5561)
Pt (0.9643, 0.5000, 0.5561)

Largest 10 diffraction maxima, in order of rising 2θ, 2θ = 5–70°:
12.05 deg, I 100.0
27.69 deg, I 100.0
28.90 deg, I 63.1
33.12 deg, I 69.0
35.21 deg, I 30.2
40.11 deg, I 30.5
41.80 deg, I 40.1
47.02 deg, I 28.6
47.72 deg, I 40.2
50.48 deg, I 32.5

***

(2)
Structure and computed powder diffractogram of Rb12Sn2As6O (the PBE geometry in Alexandria; Cu Kα (λ = 1.5418 Å)).
Lines closer than 0.1° are merged.

abc: 11.9662 11.9662 6.1472
angles: 90.00 90.00 120.00
Fractional coordinates of all 21 atoms:
Rb (0.0874, 0.5437, 0.2484)
Rb (0.1159, 0.2318, 0.2735)
Rb (0.1159, 0.8841, 0.2735)
Rb (0.2318, 0.1159, 0.7265)
Rb (0.4563, 0.5437, 0.2484)
Rb (0.4563, 0.9126, 0.2484)
Rb (0.5437, 0.0874, 0.7516)
Rb (0.5437, 0.4563, 0.7516)
Rb (0.7682, 0.8841, 0.2735)
Rb (0.8841, 0.1159, 0.7265)
Rb (0.8841, 0.7682, 0.7265)
Rb (0.9126, 0.4563, 0.7516)
Sn (0.3333, 0.6667, 0.7521)
Sn (0.6667, 0.3333, 0.2479)
As (0.2093, 0.4186, 0.7569)
As (0.2093, 0.7907, 0.7569)
As (0.4186, 0.2093, 0.2431)
As (0.5814, 0.7907, 0.7569)
As (0.7907, 0.2093, 0.2431)
As (0.7907, 0.5814, 0.2431)
O (0.0000, 0.0000, 0.5000)

Largest 10 diffraction maxima, in order of rising 2θ, 2θ = 5–70°:
16.77 deg, I 10.3
25.79 deg, I 10.2
26.99 deg, I 8.3
29.05 deg, I 32.9
29.67 deg, I 100.0
29.87 deg, I 11.6
45.48 deg, I 24.8
51.88 deg, I 19.0
54.88 deg, I 26.4
55.24 deg, I 13.6

***

(3)
Structure and computed powder diffractogram of Rb14Er2O9 (the PBE geometry in Alexandria; Cu Kα (λ = 1.5418 Å)).
Lines closer than 0.1° are merged.

abc: 8.2888 8.2888 11.6768
angles: 90.00 90.00 120.00
Fractional coordinates of all 25 atoms:
Rb (0.0000, 0.0000, 0.2488)
Rb (0.0000, 0.0000, 0.7512)
Rb (0.0142, 0.6625, 0.4037)
Rb (0.0954, 0.3908, 0.0929)
Rb (0.2954, 0.9046, 0.0929)
Rb (0.3375, 0.3517, 0.4037)
Rb (0.3517, 0.0142, 0.5963)
Rb (0.3908, 0.2954, 0.9071)
Rb (0.6092, 0.7046, 0.0929)
Rb (0.6483, 0.9858, 0.4037)
Rb (0.6625, 0.6483, 0.5963)
Rb (0.7046, 0.0954, 0.9071)
Rb (0.9046, 0.6092, 0.9071)
Rb (0.9858, 0.3375, 0.5963)
Er (0.3333, 0.6667, 0.7859)
Er (0.6667, 0.3333, 0.2141)
O (0.0000, 0.0000, 0.5000)
O (0.1208, 0.3928, 0.8451)
O (0.2719, 0.8792, 0.8451)
O (0.3333, 0.6667, 0.6029)
O (0.3928, 0.2719, 0.1549)
O (0.6072, 0.7281, 0.8451)
O (0.6667, 0.3333, 0.3971)
O (0.7281, 0.1208, 0.1549)
O (0.8792, 0.6072, 0.1549)

Largest 10 diffraction maxima, in order of rising 2θ, 2θ = 5–70°:
14.48 deg, I 28.1
26.00 deg, I 39.9
26.37 deg, I 100.0
33.13 deg, I 10.3
33.92 deg, I 31.1
37.59 deg, I 36.3
37.69 deg, I 39.5
46.50 deg, I 13.8
56.44 deg, I 13.8
61.27 deg, I 10.2

***

(4)
Structure and computed powder diffractogram of Sm2Ag3Hg4 (the PBE geometry in Alexandria; Cu Kα (λ = 1.5418 Å)).
Lines closer than 0.1° are merged.

abc: 8.9448 7.9428 5.7081
angles: 80.05 61.00 38.94
Fractional coordinates of all 9 atoms:
Sm (0.1308, 0.1308, 0.8692)
Sm (0.8692, 0.8692, 0.1308)
Ag (0.0000, 0.0000, 0.5000)
Ag (0.5000, 0.5000, 0.0000)
Ag (0.5000, 0.5000, 0.5000)
Hg (0.1697, 0.4876, 0.5124)
Hg (0.4876, 0.1697, 0.8303)
Hg (0.5124, 0.8303, 0.1697)
Hg (0.8303, 0.5124, 0.4876)

Largest 10 diffraction maxima, in order of rising 2θ, 2θ = 5–70°:
31.96 deg, I 39.3
34.24 deg, I 11.8
35.35 deg, I 19.9
36.31 deg, I 100.0
38.15 deg, I 9.7
38.86 deg, I 12.5
40.34 deg, I 11.9
59.87 deg, I 18.6
62.40 deg, I 10.1
65.42 deg, I 11.2

***

(5)
Structure and computed powder diffractogram of CdIn2PbCl6 (the PBE geometry in Alexandria; Cu Kα (λ = 1.5418 Å)).
Lines closer than 0.1° are merged.

abc: 7.5435 7.5435 5.8810
angles: 90.00 90.00 90.00
Fractional coordinates of all 10 atoms:
Cd (0.0000, 0.0000, 0.0000)
In (0.0000, 0.5000, 0.4291)
In (0.5000, 0.0000, 0.4291)
Pb (0.5000, 0.5000, 0.0199)
Cl (0.0000, 0.0000, 0.5820)
Cl (0.2376, 0.2376, 0.1228)
Cl (0.2376, 0.7624, 0.1228)
Cl (0.5000, 0.5000, 0.5508)
Cl (0.7624, 0.2376, 0.1228)
Cl (0.7624, 0.7624, 0.1228)

Largest 10 diffraction maxima, in order of rising 2θ, 2θ = 5–70°:
15.06 deg, I 17.8
22.50 deg, I 100.0
23.59 deg, I 46.0
33.60 deg, I 47.9
34.84 deg, I 18.8
38.83 deg, I 33.0
40.82 deg, I 43.4
45.94 deg, I 17.7
48.26 deg, I 16.3
63.60 deg, I 15.6

***

(6)
Structure and computed powder diffractogram of Na2Ca3Ta2O9 (the PBE geometry in Alexandria; Cu Kα (λ = 1.5418 Å)).
Lines closer than 0.1° are merged.

abc: 8.8094 8.8094 8.8094
angles: 37.83 37.83 37.83
Fractional coordinates of all 16 atoms:
Na (0.1976, 0.1976, 0.1976)
Na (0.8024, 0.8024, 0.8024)
Ca (0.3713, 0.3713, 0.3713)
Ca (0.5000, 0.5000, 0.5000)
Ca (0.6287, 0.6287, 0.6287)
Ta (0.0639, 0.0639, 0.0639)
Ta (0.9361, 0.9361, 0.9361)
O (0.0000, 0.2588, 0.7412)
O (0.1980, 0.3323, 0.7866)
O (0.2134, 0.6677, 0.8020)
O (0.2588, 0.7412, 0.0000)
O (0.3323, 0.7866, 0.1980)
O (0.6677, 0.8020, 0.2134)
O (0.7412, 0.0000, 0.2588)
O (0.7866, 0.1980, 0.3323)
O (0.8020, 0.2134, 0.6677)

Largest 10 diffraction maxima, in order of rising 2θ, 2θ = 5–70°:
10.83 deg, I 12.6
18.30 deg, I 55.6
19.35 deg, I 63.8
31.31 deg, I 100.0
34.44 deg, I 12.5
38.46 deg, I 9.1
44.87 deg, I 26.1
46.06 deg, I 32.3
55.74 deg, I 39.5
65.34 deg, I 11.7

***

(7)
Structure and computed powder diffractogram of Er12Sc5Al2 (the PBE geometry in Alexandria; Cu Kα (λ = 1.5418 Å)).
Lines closer than 0.1° are merged.

abc: 8.5662 8.5662 8.0164
angles: 91.71 91.71 64.16
Fractional coordinates of all 19 atoms:
Er (0.0549, 0.0549, 0.3232)
Er (0.0724, 0.6744, 0.3335)
Er (0.1680, 0.5410, 0.7720)
Er (0.3256, 0.9276, 0.6665)
Er (0.4175, 0.4175, 0.1249)
Er (0.4590, 0.8320, 0.2280)
Er (0.5410, 0.1680, 0.7720)
Er (0.5825, 0.5825, 0.8751)
Er (0.6744, 0.0724, 0.3335)
Er (0.8320, 0.4590, 0.2280)
Er (0.9276, 0.3256, 0.6665)
Er (0.9451, 0.9451, 0.6768)
Sc (0.1876, 0.1876, 0.0158)
Sc (0.2676, 0.2676, 0.4258)
Sc (0.5000, 0.5000, 0.5000)
Sc (0.7324, 0.7324, 0.5742)
Sc (0.8124, 0.8124, 0.9842)
Al (0.1660, 0.8340, 0.0000)
Al (0.8340, 0.1660, 0.0000)

Largest 10 diffraction maxima, in order of rising 2θ, 2θ = 5–70°:
22.19 deg, I 38.2
24.54 deg, I 46.9
31.55 deg, I 33.1
31.92 deg, I 69.3
32.08 deg, I 37.5
32.23 deg, I 47.1
33.94 deg, I 100.0
35.37 deg, I 47.7
36.94 deg, I 54.2
38.38 deg, I 29.0

***

(8)
Structure and computed powder diffractogram of La2Pr15Tm2 (the PBE geometry in Alexandria; Cu Kα (λ = 1.5418 Å)).
Lines closer than 0.1° are merged.

abc: 9.0280 9.0280 9.0280
angles: 79.62 79.62 79.62
Fractional coordinates of all 19 atoms:
La (0.1804, 0.1804, 0.1804)
La (0.8196, 0.8196, 0.8196)
Pr (0.0000, 0.5000, 0.5000)
Pr (0.1298, 0.1298, 0.6514)
Pr (0.1298, 0.6514, 0.1298)
Pr (0.2071, 0.5000, 0.7929)
Pr (0.2071, 0.7929, 0.5000)
Pr (0.3486, 0.8702, 0.8702)
Pr (0.5000, 0.0000, 0.5000)
Pr (0.5000, 0.2071, 0.7929)
Pr (0.5000, 0.5000, 0.0000)
Pr (0.5000, 0.7929, 0.2071)
Pr (0.6514, 0.1298, 0.1298)
Pr (0.7929, 0.2071, 0.5000)
Pr (0.7929, 0.5000, 0.2071)
Pr (0.8702, 0.3485, 0.8702)
Pr (0.8702, 0.8702, 0.3486)
Tm (0.4066, 0.4066, 0.4066)
Tm (0.5934, 0.5934, 0.5934)

Largest 10 diffraction maxima, in order of rising 2θ, 2θ = 5–70°:
26.44 deg, I 33.0
26.71 deg, I 32.5
29.38 deg, I 27.8
30.32 deg, I 70.9
30.56 deg, I 100.0
30.94 deg, I 67.0
33.30 deg, I 25.9
34.36 deg, I 72.8
54.65 deg, I 22.9
55.04 deg, I 26.3